(1)
The following is a theoretical powder XRD pattern of Te2MoW3Se4S2. It was derived from a cell relaxed with GGA-PBE, using CuKα.

Top 12 peaks for 2θ = 10–90°, low angle first:
2θ 11.14, 7.941 Å, rel. 100, hkl 0 0 5; 2θ 13.38, 6.618 Å, rel. 19, hkl 0 0 6; 2θ 30.89, 2.895 Å, rel. 33, hkl 1 0 0; 2θ 32.91, 2.722 Å, rel. 12, hkl 1 0 5; 2θ 34.77, 2.580 Å, rel. 12, hkl 0 1 7; 2θ 35.89, 2.502 Å, rel. 58, hkl 1 0 8; 2θ 37.12, 2.422 Å, rel. 13, hkl 1 0 9; 2θ 43.03, 2.102 Å, rel. 43, hkl 0 1 13; 2θ 44.71, 2.027 Å, rel. 15, hkl 1 0 14; 2θ 54.90, 1.672 Å, rel. 25, hkl 1 1 0; 2θ 56.19, 1.637 Å, rel. 12, hkl 1 1 5; 2θ 75.95, 1.253 Å, rel. 10, hkl 1 1 21

Atomic structure:
Unit cell a=3.3455 b=3.3455 c=39.7067 alpha=90.00 beta=90.00 gamma=120.00
Fractional positions:
Te: 0.0000 0.0000 0.0000
Te: 0.0000 0.0000 0.0961
Mo: 0.6667 0.3333 0.6724
W: 0.0000 0.0000 0.2370
W: 0.0000 0.0000 0.8595
W: 0.6667 0.3333 0.0480
Se: 0.6667 0.3333 0.1949
Se: 0.6667 0.3333 0.2791
Se: 0.6667 0.3333 0.8173
Se: 0.6667 0.3333 0.9016
S: 0.0000 0.0000 0.6342
S: 0.0000 0.0000 0.7106

(2)
The following is a theoretical powder XRD pattern of Te2MoW3Se2S4. It was derived from a cell relaxed with GGA-PBE, using CuKα.

Top 12 peaks for 2θ = 10–90°, low angle first:
2θ 11.74, 7.539 Å, rel. 100, hkl 0 0 5; 2θ 14.10, 6.282 Å, rel. 16, hkl 0 0 6; 2θ 31.24, 2.863 Å, rel. 37, hkl 1 0 0; 2θ 33.46, 2.678 Å, rel. 15, hkl 1 0 5; 2θ 36.71, 2.448 Å, rel. 76, hkl 1 0 8; 2θ 39.51, 2.281 Å, rel. 11, hkl 1 0 10; 2θ 44.45, 2.038 Å, rel. 39, hkl 0 1 13; 2θ 46.27, 1.962 Å, rel. 11, hkl 1 0 14; 2θ 55.56, 1.654 Å, rel. 24, hkl 1 1 0; 2θ 56.99, 1.616 Å, rel. 11, hkl 1 1 5; 2θ 68.45, 1.371 Å, rel. 12, hkl 0 2 8; 2θ 78.65, 1.216 Å, rel. 11, hkl 1 1 21

Atomic structure:
Unit cell a=3.3086 b=3.3086 c=37.6948 alpha=90.00 beta=90.00 gamma=120.00
Fractional positions:
Te: 0.0000 0.0000 0.0000
Te: 0.0000 0.0000 0.1021
Mo: 0.0000 0.0000 0.2389
W: 0.0000 0.0000 0.8631
W: 0.3333 0.6667 0.0510
W: 0.3333 0.6667 0.4268
Se: 0.0000 0.0000 0.3819
Se: 0.0000 0.0000 0.4716
S: 0.3333 0.6667 0.1984
S: 0.3333 0.6667 0.2794
S: 0.3333 0.6667 0.8224
S: 0.3333 0.6667 0.9038

(3)
The following is a theoretical powder XRD pattern of Te2Mo3WSe4S2. It was derived from a cell relaxed with GGA-PBE, using CuKα.

Top 12 peaks for 2θ = 10–90°, low angle first:
2θ 11.62, 7.618 Å, rel. 100, hkl 0 0 5; 2θ 13.95, 6.348 Å, rel. 15, hkl 0 0 6; 2θ 30.87, 2.896 Å, rel. 48, hkl 1 0 0; 2θ 33.07, 2.709 Å, rel. 14, hkl 1 0 5; 2θ 35.08, 2.558 Å, rel. 16, hkl 0 1 7; 2θ 36.28, 2.476 Å, rel. 87, hkl 1 0 8; 2θ 37.61, 2.391 Å, rel. 20, hkl 1 0 9; 2θ 43.94, 2.061 Å, rel. 52, hkl 1 0 13; 2θ 45.74, 1.984 Å, rel. 18, hkl 0 1 14; 2θ 54.88, 1.673 Å, rel. 36, hkl 1 1 0; 2θ 67.56, 1.386 Å, rel. 14, hkl 0 2 8; 2θ 77.63, 1.230 Å, rel. 15, hkl 1 1 21

Atomic structure:
Unit cell a=3.3470 b=3.3470 c=38.0876 alpha=90.00 beta=90.00 gamma=120.00
Fractional positions:
Te: 0.0000 0.0000 0.0000
Te: 0.0000 0.0000 0.1002
Mo: 0.0000 0.0000 0.2381
Mo: 0.0000 0.0000 0.8623
Mo: 0.3333 0.6667 0.4259
W: 0.3333 0.6667 0.0501
Se: 0.0000 0.0000 0.3821
Se: 0.0000 0.0000 0.4697
Se: 0.3333 0.6667 0.1943
Se: 0.3333 0.6667 0.2818
S: 0.3333 0.6667 0.8224
S: 0.3333 0.6667 0.9021

(4)
The following is a theoretical powder XRD pattern of Te2MoWSeS. It was derived from a cell relaxed with GGA-PBE, using CuKα.

Top 12 peaks for 2θ = 10–90°, low angle first:
2θ 11.43, 7.744 Å, rel. 100, hkl 0 0 5; 2θ 13.72, 6.454 Å, rel. 21, hkl 0 0 6; 2θ 30.38, 2.942 Å, rel. 47, hkl 1 0 0; 2θ 32.54, 2.752 Å, rel. 14, hkl 1 0 5; 2θ 33.45, 2.679 Å, rel. 11, hkl 0 1 6; 2θ 35.70, 2.515 Å, rel. 93, hkl 0 1 8; 2θ 38.41, 2.344 Å, rel. 20, hkl 1 0 10; 2θ 43.21, 2.094 Å, rel. 51, hkl 1 0 13; 2θ 44.97, 2.016 Å, rel. 16, hkl 1 0 14; 2θ 53.95, 1.700 Å, rel. 31, hkl 1 1 0; 2θ 66.38, 1.408 Å, rel. 15, hkl 2 0 8; 2θ 76.17, 1.250 Å, rel. 15, hkl 1 1 21

Atomic structure:
Unit cell a=3.3996 b=3.3996 c=38.7224 alpha=90.00 beta=90.00 gamma=120.00
Fractional positions:
Te: 0.0000 0.0000 0.0000
Te: 0.0000 0.0000 0.0973
Te: 0.3333 0.6667 0.4366
Te: 0.3333 0.6667 0.5334
Mo: 0.0000 0.0000 0.4850
Mo: 0.3333 0.6667 0.6729
W: 0.0000 0.0000 0.8608
W: 0.3333 0.6667 0.0487
Se: 0.3333 0.6667 0.8180
Se: 0.3333 0.6667 0.9035
S: 0.0000 0.0000 0.6342
S: 0.0000 0.0000 0.7116

(5)
The following is a theoretical powder XRD pattern of Te2MoW3Se2S4. It was derived from a cell relaxed with GGA-PBE, using CuKα.

Top 12 peaks for 2θ = 10–90°, low angle first:
2θ 11.14, 7.939 Å, rel. 100, hkl 0 0 5; 2θ 13.38, 6.616 Å, rel. 20, hkl 0 0 6; 2θ 31.25, 2.862 Å, rel. 31, hkl 1 0 0; 2θ 33.25, 2.695 Å, rel. 12, hkl 1 0 5; 2θ 35.10, 2.557 Å, rel. 12, hkl 0 1 7; 2θ 36.21, 2.481 Å, rel. 57, hkl 1 0 8; 2θ 37.43, 2.402 Å, rel. 12, hkl 0 1 9; 2θ 43.31, 2.089 Å, rel. 38, hkl 0 1 13; 2θ 44.98, 2.015 Å, rel. 12, hkl 0 1 14; 2θ 55.58, 1.654 Å, rel. 22, hkl 1 1 0; 2θ 56.87, 1.619 Å, rel. 10, hkl 1 1 5; 2θ 68.14, 1.376 Å, rel. 12, hkl 0 2 8

Atomic structure:
Unit cell a=3.3078 b=3.3078 c=39.6975 alpha=90.00 beta=90.00 gamma=120.00
Fractional positions:
Te: 0.0000 0.0000 0.0000
Te: 0.0000 0.0000 0.0969
Mo: 0.6667 0.3333 0.6735
W: 0.0000 0.0000 0.2390
W: 0.0000 0.0000 0.8606
W: 0.6667 0.3333 0.0484
Se: 0.6667 0.3333 0.1965
Se: 0.6667 0.3333 0.2815
S: 0.0000 0.0000 0.6350
S: 0.0000 0.0000 0.7119
S: 0.6667 0.3333 0.8220
S: 0.6667 0.3333 0.8992

(6)
The following is a theoretical powder XRD pattern of TeMoWSe2S. It was derived from a cell relaxed with GGA-PBE, using CuKα.

Top 12 peaks for 2θ = 10–90°, low angle first:
2θ 11.63, 7.609 Å, rel. 100, hkl 0 0 5; 2θ 13.97, 6.340 Å, rel. 25, hkl 0 0 6; 2θ 30.92, 2.892 Å, rel. 41, hkl 1 0 0; 2θ 31.26, 2.861 Å, rel. 11, hkl 0 1 2; 2θ 33.12, 2.705 Å, rel. 14, hkl 1 0 5; 2θ 36.34, 2.472 Å, rel. 80, hkl 0 1 8; 2θ 39.11, 2.303 Å, rel. 14, hkl 1 0 10; 2θ 44.00, 2.058 Å, rel. 46, hkl 1 0 13; 2θ 45.80, 1.981 Å, rel. 16, hkl 1 0 14; 2θ 54.96, 1.671 Å, rel. 26, hkl 1 1 0; 2θ 67.68, 1.384 Å, rel. 13, hkl 2 0 8; 2θ 77.76, 1.228 Å, rel. 13, hkl 1 1 21

Atomic structure:
Unit cell a=3.3419 b=3.3419 c=38.0430 alpha=90.00 beta=90.00 gamma=120.00
Fractional positions:
Te: 0.0000 0.0000 0.0000
Te: 0.0000 0.0000 0.0997
Mo: 0.0000 0.0000 0.2378
Mo: 0.6667 0.3333 0.0498
W: 0.0000 0.0000 0.6135
W: 0.6667 0.3333 0.4256
Se: 0.6667 0.3333 0.1940
Se: 0.6667 0.3333 0.2816
Se: 0.6667 0.3333 0.5695
Se: 0.6667 0.3333 0.6575
S: 0.0000 0.0000 0.3856
S: 0.0000 0.0000 0.4656

(7)
The following is a theoretical powder XRD pattern of Te2MoWSeS. It was derived from a cell relaxed with GGA-PBE, using CuKα.

Top 12 peaks for 2θ = 10–90°, low angle first:
2θ 11.39, 7.771 Å, rel. 100, hkl 0 0 5; 2θ 13.67, 6.476 Å, rel. 15, hkl 0 0 6; 2θ 30.36, 2.944 Å, rel. 46, hkl 1 0 0; 2θ 32.51, 2.754 Å, rel. 17, hkl 1 0 5; 2θ 35.65, 2.519 Å, rel. 92, hkl 1 0 8; 2θ 36.96, 2.432 Å, rel. 18, hkl 0 0 16; 2θ 39.85, 2.262 Å, rel. 12, hkl 1 0 11; 2θ 43.12, 2.098 Å, rel. 53, hkl 0 1 13; 2θ 44.87, 2.020 Å, rel. 18, hkl 1 0 14; 2θ 53.92, 1.700 Å, rel. 35, hkl 1 1 0; 2θ 66.32, 1.409 Å, rel. 15, hkl 0 2 8; 2θ 76.01, 1.252 Å, rel. 16, hkl 1 1 21

Atomic structure:
Unit cell a=3.4013 b=3.4013 c=38.8557 alpha=90.00 beta=90.00 gamma=120.00
Fractional positions:
Te: 0.0000 0.0000 0.0000
Te: 0.0000 0.0000 0.0969
Te: 0.0000 0.0000 0.3758
Te: 0.0000 0.0000 0.4726
Mo: 0.0000 0.0000 0.2363
Mo: 0.0000 0.0000 0.8606
W: 0.3333 0.6667 0.0485
W: 0.3333 0.6667 0.4242
Se: 0.3333 0.6667 0.1940
Se: 0.3333 0.6667 0.2787
S: 0.3333 0.6667 0.8220
S: 0.3333 0.6667 0.8992

(8)
The following is a theoretical powder XRD pattern of Te2MoW3Se4S2. It was derived from a cell relaxed with GGA-PBE, using CuKα.

Top 12 peaks for 2θ = 10–90°, low angle first:
2θ 11.63, 7.611 Å, rel. 100, hkl 0 0 5; 2θ 13.96, 6.342 Å, rel. 19, hkl 0 0 6; 2θ 30.89, 2.894 Å, rel. 37, hkl 1 0 0; 2θ 33.10, 2.706 Å, rel. 15, hkl 1 0 5; 2θ 34.04, 2.634 Å, rel. 11, hkl 0 1 6; 2θ 36.32, 2.473 Å, rel. 79, hkl 1 0 8; 2θ 39.09, 2.304 Å, rel. 15, hkl 1 0 10; 2θ 43.99, 2.059 Å, rel. 43, hkl 0 1 13; 2θ 45.79, 1.982 Å, rel. 14, hkl 1 0 14; 2θ 54.93, 1.672 Å, rel. 24, hkl 1 1 0; 2θ 67.64, 1.385 Å, rel. 13, hkl 0 2 8; 2θ 77.72, 1.229 Å, rel. 12, hkl 1 1 21

Atomic structure:
Unit cell a=3.3434 b=3.3434 c=38.0527 alpha=90.00 beta=90.00 gamma=120.00
Fractional positions:
Te: 0.0000 0.0000 0.0000
Te: 0.0000 0.0000 0.1002
Mo: 0.3333 0.6667 0.6744
W: 0.0000 0.0000 0.4865
W: 0.0000 0.0000 0.8622
W: 0.3333 0.6667 0.0501
Se: 0.0000 0.0000 0.6306
Se: 0.0000 0.0000 0.7181
Se: 0.3333 0.6667 0.4425
Se: 0.3333 0.6667 0.5304
S: 0.3333 0.6667 0.8222
S: 0.3333 0.6667 0.9022

(9)
The following is a theoretical powder XRD pattern of Te2MoW3Se2S4. It was derived from a cell relaxed with GGA-PBE, using CuKα.

Top 12 peaks for 2θ = 10–90°, low angle first:
2θ 11.51, 7.690 Å, rel. 100, hkl 0 0 5; 2θ 13.82, 6.408 Å, rel. 28, hkl 0 0 6; 2θ 31.27, 2.860 Å, rel. 32, hkl 1 0 0; 2θ 31.61, 2.831 Å, rel. 10, hkl 0 1 2; 2θ 33.41, 2.682 Å, rel. 13, hkl 1 0 5; 2θ 36.54, 2.459 Å, rel. 64, hkl 0 1 8; 2θ 44.03, 2.057 Å, rel. 37, hkl 0 1 13; 2θ 45.79, 1.982 Å, rel. 13, hkl 1 0 14; 2θ 55.63, 1.652 Å, rel. 25, hkl 1 1 0; 2θ 57.01, 1.615 Å, rel. 10, hkl 1 1 5; 2θ 68.40, 1.371 Å, rel. 10, hkl 2 0 8; 2θ 77.88, 1.227 Å, rel. 10, hkl 1 1 21

Atomic structure:
Unit cell a=3.3046 b=3.3046 c=38.4486 alpha=90.00 beta=90.00 gamma=120.00
Fractional positions:
Te: 0.0000 0.0000 0.0000
Te: 0.0000 0.0000 0.0995
Mo: 0.6667 0.3333 0.0497
W: 0.0000 0.0000 0.2398
W: 0.0000 0.0000 0.6147
W: 0.6667 0.3333 0.4268
Se: 0.6667 0.3333 0.1958
Se: 0.6667 0.3333 0.2837
S: 0.0000 0.0000 0.3869
S: 0.0000 0.0000 0.4667
S: 0.6667 0.3333 0.5748
S: 0.6667 0.3333 0.6546

(10)
The following is a theoretical powder XRD pattern of Te2MoWSeS. It was derived from a cell relaxed with GGA-PBE, using CuKα.

Top 12 peaks for 2θ = 10–90°, low angle first:
2θ 11.42, 7.749 Å, rel. 100, hkl 0 0 5; 2θ 13.71, 6.458 Å, rel. 15, hkl 0 0 6; 2θ 30.39, 2.942 Å, rel. 54, hkl 1 0 0; 2θ 32.54, 2.752 Å, rel. 14, hkl 1 0 5; 2θ 34.51, 2.599 Å, rel. 14, hkl 0 1 7; 2θ 35.69, 2.515 Å, rel. 95, hkl 1 0 8; 2θ 36.99, 2.430 Å, rel. 17, hkl 1 0 9; 2θ 43.20, 2.094 Å, rel. 53, hkl 0 1 13; 2θ 44.96, 2.016 Å, rel. 19, hkl 1 0 14; 2θ 53.97, 1.699 Å, rel. 37, hkl 1 1 0; 2θ 66.38, 1.408 Å, rel. 15, hkl 0 2 8; 2θ 76.15, 1.250 Å, rel. 16, hkl 1 1 21

Atomic structure:
Unit cell a=3.3990 b=3.3990 c=38.7464 alpha=90.00 beta=90.00 gamma=120.00
Fractional positions:
Te: 0.0000 0.0000 0.0000
Te: 0.0000 0.0000 0.0966
Te: 0.0000 0.0000 0.3755
Te: 0.0000 0.0000 0.4727
Mo: 0.0000 0.0000 0.8605
Mo: 0.3333 0.6667 0.0484
W: 0.0000 0.0000 0.2362
W: 0.3333 0.6667 0.4241
Se: 0.3333 0.6667 0.1935
Se: 0.3333 0.6667 0.2789
S: 0.3333 0.6667 0.8217
S: 0.3333 0.6667 0.8993

(11)
The following is a theoretical powder XRD pattern of Te2MoW3Se2S4. It was derived from a cell relaxed with GGA-PBE, using CuKα.

Top 12 peaks for 2θ = 10–90°, low angle first:
2θ 11.31, 7.825 Å, rel. 100, hkl 0 0 5; 2θ 13.58, 6.521 Å, rel. 20, hkl 0 0 6; 2θ 31.24, 2.863 Å, rel. 28, hkl 1 0 0; 2θ 33.31, 2.690 Å, rel. 13, hkl 1 0 5; 2θ 34.19, 2.622 Å, rel. 11, hkl 0 1 6; 2θ 36.35, 2.472 Å, rel. 60, hkl 1 0 8; 2θ 43.62, 2.075 Å, rel. 38, hkl 0 1 13; 2θ 45.34, 2.000 Å, rel. 12, hkl 1 0 14; 2θ 55.58, 1.653 Å, rel. 21, hkl 1 1 0; 2θ 56.92, 1.618 Å, rel. 11, hkl 1 1 5; 2θ 73.19, 1.293 Å, rel. 10, hkl 2 0 13; 2θ 77.13, 1.237 Å, rel. 11, hkl 1 1 21

Atomic structure:
Unit cell a=3.3073 b=3.3073 c=39.1235 alpha=90.00 beta=90.00 gamma=120.00
Fractional positions:
Te: 0.0000 0.0000 0.0000
Te: 0.0000 0.0000 0.0984
Mo: 0.3333 0.6667 0.6718
W: 0.0000 0.0000 0.4840
W: 0.0000 0.0000 0.8580
W: 0.3333 0.6667 0.0492
Se: 0.3333 0.6667 0.8150
Se: 0.3333 0.6667 0.9012
S: 0.0000 0.0000 0.6327
S: 0.0000 0.0000 0.7109
S: 0.3333 0.6667 0.4448
S: 0.3333 0.6667 0.5231

(12)
The following is a theoretical powder XRD pattern of Te2MoW3Se2S4. It was derived from a cell relaxed with GGA-PBE, using CuKα.

Top 12 peaks for 2θ = 10–90°, low angle first:
2θ 11.74, 7.537 Å, rel. 100, hkl 0 0 5; 2θ 14.10, 6.281 Å, rel. 21, hkl 0 0 6; 2θ 31.24, 2.863 Å, rel. 37, hkl 1 0 0; 2θ 33.46, 2.678 Å, rel. 14, hkl 1 0 5; 2θ 35.49, 2.529 Å, rel. 12, hkl 0 1 7; 2θ 36.71, 2.448 Å, rel. 73, hkl 1 0 8; 2θ 38.06, 2.365 Å, rel. 13, hkl 1 0 9; 2θ 44.46, 2.038 Å, rel. 38, hkl 0 1 13; 2θ 46.28, 1.962 Å, rel. 13, hkl 1 0 14; 2θ 55.57, 1.654 Å, rel. 26, hkl 1 1 0; 2θ 57.00, 1.616 Å, rel. 11, hkl 1 1 5; 2θ 68.45, 1.371 Å, rel. 12, hkl 0 2 8

Atomic structure:
Unit cell a=3.3084 b=3.3084 c=37.6847 alpha=90.00 beta=90.00 gamma=120.00
Fractional positions:
Te: 0.0000 0.0000 0.0000
Te: 0.0000 0.0000 0.1021
Mo: 0.0000 0.0000 0.8632
W: 0.0000 0.0000 0.2390
W: 0.3333 0.6667 0.0511
W: 0.3333 0.6667 0.4268
Se: 0.0000 0.0000 0.3820
Se: 0.0000 0.0000 0.4716
S: 0.3333 0.6667 0.1982
S: 0.3333 0.6667 0.2796
S: 0.3333 0.6667 0.8226
S: 0.3333 0.6667 0.9037